1.
# Mg4In2Ga3
Simulated powder diffraction line list, copper Kα. Input: the PBE geometry in Alexandria.
Peak positions follow from Bragg's law for the DFT cell and can differ from measured ones.

The 10 most intense peaks (2θ from 5° to 70°), low angle first:
- 2θ 19.03, I 24.2
- 2θ 23.38, I 22.2
- 2θ 25.41, I 36.8
- 2θ 35.14, I 100.0
- 2θ 35.69, I 93.2
- 2θ 39.76, I 37.8
- 2θ 41.46, I 30.3
- 2θ 42.13, I 29.0
- 2θ 58.79, I 20.8
- 2θ 59.31, I 20.3

Cell and atoms:
Cell lengths 5.281, 5.281, 9.274 Å; angles 106.23, 106.23, 50.84 degrees
Atoms (fractional coordinates):
Mg (0.016, 0.016, 0.339)
Mg (0.335, 0.335, 0.111)
Mg (0.665, 0.665, 0.889)
Mg (0.984, 0.984, 0.661)
In (0.326, 0.326, 0.771)
In (0.674, 0.674, 0.229)
Ga (0.000, 0.000, 0.000)
Ga (0.346, 0.346, 0.445)
Ga (0.654, 0.654, 0.555)



2.
# Mg2In2GaNi4
Simulated powder diffraction line list, copper Kα. Input: the PBE geometry in Alexandria.
Peak positions follow from Bragg's law for the DFT cell and can differ from measured ones.

The 10 most intense peaks (2θ from 5° to 70°), low angle first:
- 2θ 21.26, I 12.8
- 2θ 30.27, I 67.9
- 2θ 35.64, I 12.8
- 2θ 37.28, I 100.0
- 2θ 43.28, I 57.2
- 2θ 43.40, I 26.6
- 2θ 47.43, I 17.1
- 2θ 53.73, I 22.0
- 2θ 57.30, I 6.8
- 2θ 62.93, I 47.7

Cell and atoms:
Cell lengths 5.905, 5.905, 5.905 Å; angles 119.92, 119.92, 90.14 degrees
Atoms (fractional coordinates):
Mg (0.198, 0.198, 0.000)
Mg (0.802, 0.802, 0.000)
In (0.250, 0.750, 0.500)
In (0.750, 0.250, 0.500)
Ga (0.500, 0.500, 0.000)
Ni (0.228, 0.228, 0.457)
Ni (0.228, 0.772, 0.000)
Ni (0.772, 0.228, 0.000)
Ni (0.772, 0.772, 0.543)



3.
# MgInGaO4
Simulated powder diffraction line list, copper Kα. Input: the PBE geometry in Alexandria.
Peak positions follow from Bragg's law for the DFT cell and can differ from measured ones.

The 10 most intense peaks (2θ from 5° to 70°), low angle first:
- 2θ 10.37, I 68.1
- 2θ 20.82, I 42.4
- 2θ 30.72, I 100.0
- 2θ 31.45, I 46.9
- 2θ 33.65, I 85.4
- 2θ 35.30, I 64.7
- 2θ 47.15, I 46.3
- 2θ 54.24, I 55.5
- 2θ 59.61, I 34.2
- 2θ 64.06, I 35.4

Cell and atoms:
Cell lengths 8.754, 8.754, 8.754 Å; angles 22.28, 22.28, 22.28 degrees
Atoms (fractional coordinates):
Mg (0.000, 0.000, 0.000)
In (0.214, 0.214, 0.214)
Ga (0.428, 0.428, 0.428)
O (0.091, 0.091, 0.091)
O (0.350, 0.350, 0.350)
O (0.504, 0.504, 0.504)
O (0.921, 0.921, 0.921)



4.
# MgInGaO4
Simulated powder diffraction line list, copper Kα. Input: the PBE geometry in Alexandria.
Peak positions follow from Bragg's law for the DFT cell and can differ from measured ones.

The 10 most intense peaks (2θ from 5° to 70°), low angle first:
- 2θ 17.78, I 38.8
- 2θ 20.54, I 23.2
- 2θ 29.10, I 29.0
- 2θ 29.25, I 36.0
- 2θ 33.97, I 100.0
- 2θ 34.31, I 30.3
- 2θ 34.41, I 52.5
- 2θ 41.45, I 17.8
- 2θ 54.95, I 24.0
- 2θ 60.32, I 47.0

Cell and atoms:
Cell lengths 6.139, 6.139, 6.139 Å; angles 120.35, 119.13, 90.46 degrees
Atoms (fractional coordinates):
Mg (0.500, 0.000, 0.000)
Mg (0.500, 0.500, 0.500)
In (0.000, 0.000, 0.000)
In (0.500, 0.000, 0.500)
Ga (0.120, 0.370, 0.750)
Ga (0.880, 0.630, 0.250)
O (0.256, 0.257, 0.502)
O (0.256, 0.754, 0.998)
O (0.258, 0.749, 0.509)
O (0.260, 0.251, 0.009)
O (0.740, 0.749, 0.991)
O (0.742, 0.251, 0.491)
O (0.744, 0.246, 0.002)
O (0.744, 0.743, 0.498)